# CeAsPd
Computed powder diffractogram, Cu Kα, 1.54184 Å. Input: a structure optimized by DFT (GGA-PBE).

Crystal structure
```
data_CeAsPd
_cell_length_a 7.5925
_cell_length_b 4.6778
_cell_length_c 7.4541
_cell_angle_alpha 90.00
_cell_angle_beta 90.68
_cell_angle_gamma 90.00
_symmetry_space_group_name_H-M 'C 1 2/m 1'
_symmetry_Int_Tables_number 12
_symmetry_space_group_name_Hall '-C 2y'
loop_
_atom_site_label
_atom_site_fract_x
_atom_site_fract_y
_atom_site_fract_z
Ce1 0.0032 0.0000 0.2529
As1 0.1729 0.5000 0.0018
Pd1 0.1733 0.5000 0.4649
```

Largest 10 diffraction maxima, by angle, 2θ = 10–90°:
| 2θ/deg | I_rel |
| --- | --- |
| 32.81 | 49 |
| 33.02 | 100 |
| 33.50 | 54 |
| 33.91 | 28 |
| 38.49 | 51 |
| 40.53 | 88 |
| 48.88 | 20 |
| 51.93 | 31 |
| 63.87 | 18 |
| 65.68 | 18 |

=====

# Pr9O16
Computed powder diffractogram, Cu Kα, 1.54184 Å. Input: a structure optimized by DFT (GGA-PBE).

Crystal structure
```
data_Pr9O16
_cell_length_a 6.8836
_cell_length_b 7.0114
_cell_length_c 9.1478
_cell_angle_alpha 74.04
_cell_angle_beta 80.83
_cell_angle_gamma 81.39
_symmetry_space_group_name_H-M 'P -1'
_symmetry_Int_Tables_number 2
_symmetry_space_group_name_Hall '-P 1'
loop_
_atom_site_label
_atom_site_fract_x
_atom_site_fract_y
_atom_site_fract_z
Pr1 0.0000 0.0000 0.0000
Pr2 0.1072 0.5213 0.7730
Pr3 0.2300 0.1244 0.5269
Pr4 0.3281 0.6908 0.3281
Pr5 0.4087 0.2384 0.1009
O1 0.0257 0.2132 0.7431
O2 0.0708 0.2956 0.0448
O3 0.1242 0.8056 0.5460
O4 0.2207 0.3881 0.2976
O5 0.3319 0.9125 0.0599
O6 0.3535 0.4189 0.5711
O7 0.4237 0.4967 0.8581
O8 0.4723 0.9947 0.3368
```

Largest 10 diffraction maxima, by angle, 2θ = 10–90°:
| 2θ/deg | I_rel |
| --- | --- |
| 27.11 | 100 |
| 30.76 | 11 |
| 31.10 | 11 |
| 32.34 | 10 |
| 44.31 | 17 |
| 45.24 | 16 |
| 45.48 | 15 |
| 52.51 | 14 |
| 52.94 | 13 |
| 54.56 | 13 |

=====

# BaCa2I6
Computed powder diffractogram, Cu Kα, 1.54184 Å. Input: a structure optimized by DFT (GGA-PBE).

Crystal structure
```
data_BaCa2I6
_cell_length_a 25.1232
_cell_length_b 7.6835
_cell_length_c 8.7325
_cell_angle_alpha 90.00
_cell_angle_beta 93.91
_cell_angle_gamma 90.00
_symmetry_space_group_name_H-M 'C 1 2/c 1'
_symmetry_Int_Tables_number 15
_symmetry_space_group_name_Hall '-C 2yc'
loop_
_atom_site_label
_atom_site_fract_x
_atom_site_fract_y
_atom_site_fract_z
Ba1 0.0000 0.2494 0.2500
Ca1 0.1734 0.2700 0.6295
I1 0.0682 0.0746 0.5810
I2 0.1126 0.4783 0.8824
I3 0.2173 0.0421 0.3568
```

Largest 10 diffraction maxima, by angle, 2θ = 10–90°:
| 2θ/deg | I_rel |
| --- | --- |
| 15.63 | 22 |
| 21.16 | 35 |
| 25.22 | 100 |
| 26.40 | 53 |
| 26.52 | 26 |
| 27.48 | 50 |
| 31.64 | 34 |
| 32.19 | 33 |
| 36.45 | 27 |
| 40.27 | 24 |

=====

# Pm3Y
Computed powder diffractogram, Cu Kα, 1.54184 Å. Input: a structure optimized by DFT (GGA-PBE).

Crystal structure
```
data_Pm3Y
_cell_length_a 7.3286
_cell_length_b 7.3286
_cell_length_c 5.9283
_cell_angle_alpha 90.00
_cell_angle_beta 90.00
_cell_angle_gamma 120.00
_symmetry_space_group_name_H-M 'P 63/m m c'
_symmetry_Int_Tables_number 194
_symmetry_space_group_name_Hall '-P 6c 2c'
loop_
_atom_site_label
_atom_site_fract_x
_atom_site_fract_y
_atom_site_fract_z
Pm1 0.1668 0.3337 0.2500
Y1 0.3333 0.6667 0.7500
```

Largest 10 diffraction maxima, by angle, 2θ = 10–90°:
| 2θ/deg | I_rel |
| --- | --- |
| 28.12 | 23 |
| 30.15 | 26 |
| 31.99 | 100 |
| 41.70 | 16 |
| 49.77 | 19 |
| 54.72 | 22 |
| 59.30 | 23 |
| 60.39 | 16 |
| 81.95 | 13 |
| 83.99 | 8 |

=====

# Mg14BSb
Computed powder diffractogram, Cu Kα, 1.54184 Å. Input: a structure optimized by DFT (GGA-PBE).

Crystal structure
```
data_Mg14BSb
_cell_length_a 6.2890
_cell_length_b 6.2890
_cell_length_c 10.0866
_cell_angle_alpha 90.00
_cell_angle_beta 90.00
_cell_angle_gamma 120.00
_symmetry_space_group_name_H-M 'P -6 m 2'
_symmetry_Int_Tables_number 187
_symmetry_space_group_name_Hall 'P -6 2'
loop_
_atom_site_label
_atom_site_fract_x
_atom_site_fract_y
_atom_site_fract_z
Mg1 0.0000 0.0000 0.2491
Mg2 0.0035 0.5018 0.2638
Mg3 0.3302 0.1651 0.5000
Mg4 0.3339 0.1669 0.0000
B1 0.3333 0.6667 0.5000
Sb1 0.3333 0.6667 0.0000
```

Largest 10 diffraction maxima, by angle, 2θ = 10–90°:
| 2θ/deg | I_rel |
| --- | --- |
| 16.27 | 14 |
| 18.51 | 39 |
| 29.76 | 14 |
| 32.89 | 26 |
| 35.60 | 25 |
| 37.53 | 100 |
| 49.25 | 16 |
| 58.72 | 17 |
| 65.22 | 17 |
| 70.60 | 18 |

=====

# NaHS
Computed powder diffractogram, Cu Kα, 1.54184 Å. Input: a structure optimized by DFT (GGA-PBE).

Crystal structure
```
data_NaHS
_cell_length_a 3.9680
_cell_length_b 4.4988
_cell_length_c 6.0285
_cell_angle_alpha 90.00
_cell_angle_beta 100.02
_cell_angle_gamma 90.00
_symmetry_space_group_name_H-M 'P 1 21/m 1'
_symmetry_Int_Tables_number 11
_symmetry_space_group_name_Hall '-P 2yb'
loop_
_atom_site_label
_atom_site_fract_x
_atom_site_fract_y
_atom_site_fract_z
Na1 0.2277 0.2500 0.2683
H1 0.4600 0.7500 0.1054
S1 0.2407 0.2500 0.7484
```

Largest 10 diffraction maxima, by angle, 2θ = 10–90°:
| 2θ/deg | I_rel |
| --- | --- |
| 30.11 | 50 |
| 30.30 | 100 |
| 40.14 | 67 |
| 46.15 | 27 |
| 46.48 | 13 |
| 50.94 | 21 |
| 51.32 | 9 |
| 63.02 | 10 |
| 66.78 | 16 |
| 67.04 | 7 |

=====

# BaMg7
Computed powder diffractogram, Cu Kα, 1.54184 Å. Input: a structure optimized by DFT (GGA-PBE).

Crystal structure
```
data_BaMg7
_cell_length_a 6.9429
_cell_length_b 6.9429
_cell_length_c 5.3046
_cell_angle_alpha 90.00
_cell_angle_beta 90.00
_cell_angle_gamma 120.00
_symmetry_space_group_name_H-M 'P -6 m 2'
_symmetry_Int_Tables_number 187
_symmetry_space_group_name_Hall 'P -6 2'
loop_
_atom_site_label
_atom_site_fract_x
_atom_site_fract_y
_atom_site_fract_z
Ba1 0.0000 0.0000 0.0000
Mg1 0.0117 0.5058 0.0000
Mg2 0.1802 0.3604 0.5000
Mg3 0.6667 0.3333 0.5000
```

Largest 10 diffraction maxima, by angle, 2θ = 10–90°:
| 2θ/deg | I_rel |
| --- | --- |
| 14.73 | 49 |
| 22.35 | 51 |
| 29.72 | 32 |
| 30.78 | 19 |
| 33.79 | 23 |
| 34.29 | 100 |
| 45.61 | 19 |
| 52.74 | 18 |
| 60.77 | 18 |
| 64.12 | 19 |

=====

# Mg6TiV
Computed powder diffractogram, Cu Kα, 1.54184 Å. Input: a structure optimized by DFT (GGA-PBE).

Crystal structure
```
data_Mg6TiV
_cell_length_a 4.8653
_cell_length_b 6.1356
_cell_length_c 10.9808
_cell_angle_alpha 90.00
_cell_angle_beta 90.00
_cell_angle_gamma 90.00
_symmetry_space_group_name_H-M 'A m m 2'
_symmetry_Int_Tables_number 38
_symmetry_space_group_name_Hall 'A 2 -2'
loop_
_atom_site_label
_atom_site_fract_x
_atom_site_fract_y
_atom_site_fract_z
Mg1 0.0000 0.0000 0.0000
Mg2 0.0000 0.2414 0.7527
Mg3 0.5000 0.0000 0.1628
Mg4 0.5000 0.2422 0.4132
Ti1 0.0000 0.0000 0.5178
V1 0.5000 0.0000 0.6470
```

Largest 10 diffraction maxima, by angle, 2θ = 10–90°:
| 2θ/deg | I_rel |
| --- | --- |
| 16.55 | 26 |
| 33.46 | 40 |
| 36.95 | 44 |
| 37.62 | 73 |
| 38.37 | 100 |
| 50.70 | 23 |
| 58.75 | 17 |
| 67.52 | 17 |
| 71.45 | 21 |
| 73.33 | 17 |

=====

# Dy2Te
Computed powder diffractogram, Cu Kα, 1.54184 Å. Input: a structure optimized by DFT (GGA-PBE).

Crystal structure
```
data_Dy2Te
_cell_length_a 22.2095
_cell_length_b 4.0670
_cell_length_c 11.5417
_cell_angle_alpha 90.00
_cell_angle_beta 90.00
_cell_angle_gamma 90.00
_symmetry_space_group_name_H-M 'P n m a'
_symmetry_Int_Tables_number 62
_symmetry_space_group_name_Hall '-P 2ac 2n'
loop_
_atom_site_label
_atom_site_fract_x
_atom_site_fract_y
_atom_site_fract_z
Dy1 0.0169 0.2500 0.1131
Dy2 0.0342 0.7500 0.3839
Dy3 0.1086 0.2500 0.8482
Dy4 0.1467 0.7500 0.0849
Dy5 0.1600 0.2500 0.5440
Dy6 0.2334 0.7500 0.7654
Te1 0.0689 0.7500 0.6493
Te2 0.1274 0.2500 0.2881
Te3 0.2392 0.2500 0.9796
```

Largest 10 diffraction maxima, by angle, 2θ = 10–90°:
| 2θ/deg | I_rel |
| --- | --- |
| 29.45 | 48 |
| 30.80 | 100 |
| 32.04 | 90 |
| 32.22 | 22 |
| 33.05 | 23 |
| 33.19 | 25 |
| 33.66 | 70 |
| 34.30 | 40 |
| 44.56 | 43 |
| 55.93 | 23 |

=====

# MgC2N2
Computed powder diffractogram, Cu Kα, 1.54184 Å. Input: a structure optimized by DFT (GGA-PBE).

Crystal structure
```
data_MgC2N2
_cell_length_a 6.2364
_cell_length_b 6.2364
_cell_length_c 6.2367
_cell_angle_alpha 90.00
_cell_angle_beta 90.00
_cell_angle_gamma 90.00
_symmetry_space_group_name_H-M 'P 42 n m'
_symmetry_Int_Tables_number 102
_symmetry_space_group_name_Hall 'P 4n -2n'
loop_
_atom_site_label
_atom_site_fract_x
_atom_site_fract_y
_atom_site_fract_z
Mg1 0.0000 0.0000 0.0000
C1 0.1995 0.1995 0.2064
N1 0.1925 0.8075 0.8151
```

Largest 10 diffraction maxima, by angle, 2θ = 10–90°:
| 2θ/deg | I_rel |
| --- | --- |
| 20.14 | 100 |
| 24.73 | 76 |
| 35.25 | 21 |
| 40.93 | 40 |
| 43.54 | 7 |
| 48.41 | 7 |
| 55.10 | 28 |
| 63.26 | 16 |
| 69.01 | 5 |
| 78.15 | 10 |

=====

# LuThFe6
Computed powder diffractogram, Cu Kα, 1.54184 Å. Input: a structure optimized by DFT (GGA-PBE).

Crystal structure
```
data_LuThFe6
_cell_length_a 5.1019
_cell_length_b 5.1019
_cell_length_c 49.3215
_cell_angle_alpha 90.00
_cell_angle_beta 90.00
_cell_angle_gamma 120.00
_symmetry_space_group_name_H-M 'R 3 m'
_symmetry_Int_Tables_number 160
_symmetry_space_group_name_Hall 'R 3 -2"'
loop_
_atom_site_label
_atom_site_fract_x
_atom_site_fract_y
_atom_site_fract_z
Lu1 0.0000 0.0000 0.0000
Lu2 0.0000 0.0000 0.1418
Lu3 0.0000 0.0000 0.4988
Th1 0.0000 0.0000 0.0706
Th2 0.0000 0.0000 0.5691
Th3 0.0000 0.0000 0.6414
Fe1 0.0000 0.0000 0.2367
Fe2 0.0000 0.0000 0.3209
Fe3 0.0000 0.0000 0.4039
Fe4 0.0000 0.0000 0.7369
Fe5 0.0000 0.0000 0.8204
Fe6 0.0000 0.0000 0.9039
Fe7 0.9997 0.4999 0.0291
Fe8 0.0004 0.5002 0.1122
Fe9 0.0010 0.5005 0.6116
Fe10 0.1669 0.3339 0.8618
```

Largest 10 diffraction maxima, by angle, 2θ = 10–90°:
| 2θ/deg | I_rel |
| --- | --- |
| 20.42 | 29 |
| 32.51 | 60 |
| 35.18 | 62 |
| 35.51 | 39 |
| 41.02 | 40 |
| 41.67 | 100 |
| 61.44 | 20 |
| 63.34 | 14 |
| 67.56 | 23 |
| 74.37 | 20 |

=====

# Cu2SiS3
Computed powder diffractogram, Cu Kα, 1.54184 Å. Input: a structure optimized by DFT (GGA-PBE).

Crystal structure
```
data_Cu2SiS3
_cell_length_a 6.3487
_cell_length_b 11.1724
_cell_length_c 6.3369
_cell_angle_alpha 90.00
_cell_angle_beta 108.36
_cell_angle_gamma 90.00
_symmetry_space_group_name_H-M 'C 1 c 1'
_symmetry_Int_Tables_number 9
_symmetry_space_group_name_Hall 'C -2yc'
loop_
_atom_site_label
_atom_site_fract_x
_atom_site_fract_y
_atom_site_fract_z
Cu1 0.0000 0.0875 0.0000
Cu2 0.4973 0.2449 0.0017
Si1 0.4761 0.0846 0.4786
S1 0.1113 0.4241 0.3542
S2 0.1153 0.2614 0.8810
S3 0.1258 0.0843 0.3821
```

Largest 10 diffraction maxima, by angle, 2θ = 10–90°:
| 2θ/deg | I_rel |
| --- | --- |
| 29.65 | 100 |
| 34.10 | 4 |
| 48.91 | 10 |
| 49.08 | 10 |
| 49.59 | 40 |
| 58.29 | 19 |
| 58.41 | 6 |
| 59.36 | 12 |
| 71.81 | 6 |
| 80.42 | 7 |